Calculated powder XRD pattern
Compound: NaU2Cl6
Radiation: λ = 1.5418 Å (Cu Kα)
Structure: a structure optimized by DFT (GGA-PBE)
Neutral-atom scattering factors, no anomalous dispersion.

Most intense lines, 5 to 70 degrees two-theta, by angle:
| index | 2θ/deg | I/Imax |
| --- | --- | --- |
| 0 0 2 | 13.13 | 61 |
| 1 0 -2 | 13.25 | 31 |
| 2 0 -2 | 22.98 | 56 |
| 1 1 0 | 25.40 | 100 |
| 0 1 4 | 34.41 | 64 |
| 2 1 -4 | 34.60 | 32 |

Crystal structure
a b c (Å): 7.730 4.110 15.498
angles (deg): 90.00 119.40 90.00
Space group Pc (No. 7)
Symmetry-distinct sites (fractional):
Na 0.000 0.249 0.000 (multiplicity 2)
U 0.329 0.001 0.832 (multiplicity 2)
U 0.664 0.494 0.165 (multiplicity 2)
Cl 0.082 0.499 0.348 (multiplicity 2)
Cl 0.305 0.498 0.189 (multiplicity 2)
Cl 0.381 0.002 0.537 (multiplicity 2)
Cl 0.618 0.497 0.458 (multiplicity 2)
Cl 0.702 0.003 0.807 (multiplicity 2)
Cl 0.919 0.003 0.649 (multiplicity 2)